This entry pairs a crystal structure of La3HgO with its computed powder XRD pattern. Radiation: λ = 1.5418 Å (Cu Kα). Structure: a GGA-PBE-relaxed structure.
Peak positions follow from Bragg's law for the DFT cell and can differ from measured ones.

Peak list (10 most intense, 15 to 90 degrees two-theta, in order of rising 2θ)
| two_theta | Rel. int. |
| --- | --- |
| 30.5 | 35.3 |
| 30.6 | 100.0 |
| 35.4 | 76.0 |
| 50.9 | 27.0 |
| 51.1 | 24.5 |
| 60.5 | 14.7 |
| 60.7 | 39.1 |
| 63.7 | 12.0 |
| 85.6 | 11.3 |
| 85.9 | 9.4 |

Crystal structure
Unit cell a=7.179 b=7.179 c=7.179 alpha=59.78 beta=59.78 gamma=59.78
Positions (direct):
La (0.225, 0.750, 0.275)
La (0.250, 0.725, 0.775)
La (0.275, 0.225, 0.750)
La (0.725, 0.775, 0.250)
La (0.750, 0.275, 0.225)
La (0.775, 0.250, 0.725)
Hg (0.250, 0.250, 0.250)
Hg (0.750, 0.750, 0.750)
O (0.000, 0.000, 0.000)
O (0.500, 0.500, 0.500)